Entry 1:
Computed powder X-ray diffraction pattern
Compound: Pr3Nd4Dy
Radiation: λ = 1.5418 Å (Cu Kα)
Structure: a cell relaxed with PBE
Neutral-atom scattering factors, no anomalous dispersion.

Cell and atoms:
```
data_Pr3Nd4Dy
_cell_length_a 10.390
_cell_length_b 7.352
_cell_length_c 7.346
_cell_angle_alpha 90.00
_cell_angle_beta 90.00
_cell_angle_gamma 90.00
_symmetry_space_group_name_H-M 'P 1'
_symmetry_Int_Tables_number 1
loop_
_symmetry_equiv_pos_as_xyz
'x,y,z'
loop_
_atom_site_label
_atom_site_fract_x
_atom_site_fract_y
_atom_site_fract_z
Pr1 0.000 0.000 0.000
Pr2 0.250 0.252 0.250
Pr3 0.250 0.748 0.750
Pr4 0.500 0.000 0.500
Pr5 0.750 0.252 0.250
Pr6 0.750 0.748 0.750
Nd1 0.000 0.000 0.500
Nd2 0.000 0.500 0.000
Nd3 0.250 0.252 0.750
Nd4 0.250 0.748 0.250
Nd5 0.500 0.000 0.000
Nd6 0.500 0.500 0.500
Nd7 0.750 0.252 0.750
Nd8 0.750 0.748 0.250
Dy1 0.000 0.500 0.500
Dy2 0.500 0.500 0.000
```

Largest 5 diffraction maxima, sorted by position, 2θ = 5–70°:
29.8°, rel. 100
34.5°, rel. 51
49.6°, rel. 36
59.0°, rel. 43
61.9°, rel. 12

Entry 2:
Computed powder X-ray diffraction pattern
Compound: Cs3Ga2P2
Radiation: λ = 1.5418 Å (Cu Kα)
Structure: a cell relaxed with PBE
Neutral-atom scattering factors, no anomalous dispersion.

Cell and atoms:
```
data_Cs3Ga2P2
_cell_length_a 10.674
_cell_length_b 10.674
_cell_length_c 10.674
_cell_angle_alpha 158.43
_cell_angle_beta 147.68
_cell_angle_gamma 39.19
_symmetry_space_group_name_H-M 'P 1'
_symmetry_Int_Tables_number 1
loop_
_symmetry_equiv_pos_as_xyz
'x,y,z'
loop_
_atom_site_label
_atom_site_fract_x
_atom_site_fract_y
_atom_site_fract_z
Cs1 0.000 0.000 0.000
Cs2 0.187 0.687 0.500
Cs3 0.813 0.313 0.500
Ga1 0.438 0.438 0.000
Ga2 0.562 0.562 0.000
P1 0.373 0.873 0.500
P2 0.627 0.127 0.500
```

Largest 8 diffraction maxima, sorted by position, 2θ = 5–70°:
26.0°, rel. 25
26.8°, rel. 70
28.3°, rel. 100
30.1°, rel. 44
38.6°, rel. 20
49.7°, rel. 19
52.4°, rel. 30
53.5°, rel. 22